Entry 1:
Diffraction record for Sm2Ho7Tm4. The powder diffraction line list is computed, not measured: it uses DFT lattice parameters and positions (GGA-PBE) and λ = 1.5418 Å (Cu Kα).
Peak positions follow from Bragg's law for the DFT cell and can differ from measured ones.

Cell and atoms:
```
data_Sm2Ho7Tm4
_chemical_formula_sum 'Sm2 Ho7 Tm4'
_space_group_name_H-M_alt 'P -3 1 m'
_space_group_IT_number 162
_space_group_name_Hall '-P 3 2'
_cell_length_a 6.0233
_cell_length_b 6.0233
_cell_length_c 13.2179
_cell_angle_alpha 90.00
_cell_angle_beta 90.00
_cell_angle_gamma 120.00
loop_
_atom_site_label
_atom_site_fract_x
_atom_site_fract_y
_atom_site_fract_z
_atom_site_occupancy
Sm1 0.3333 0.6667 0.0000 1
Ho1 0.0000 0.0000 0.0000 1
Ho2 0.0000 0.3533 0.2175 1
Tm1 0.0000 0.0000 0.3951 1
Tm2 0.3333 0.6667 0.5000 1
```

Peak list (10 most intense, 2θ from 10° to 90°, sorted by position)
| 2theta | I_rel | index |
| --- | --- | --- |
| 26.98 | 20 | 0 0 4 |
| 29.66 | 15 | 1 1 0 |
| 30.44 | 47 | 1 1 1 |
| 32.06 | 14 | 1 0 4 |
| 32.68 | 100 | 2 -1 2 |
| 36.13 | 31 | 1 1 3 |
| 51.39 | 19 | 2 -1 6 |
| 52.64 | 30 | 3 0 0 |
| 63.34 | 18 | 2 2 2 |
| 86.82 | 14 | 5 -1 2 |

Entry 2:
Diffraction record for La4Ge7. The powder diffraction line list is computed, not measured: it uses DFT lattice parameters and positions (GGA-PBE) and λ = 1.5418 Å (Cu Kα).
Peak positions follow from Bragg's law for the DFT cell and can differ from measured ones.

Cell and atoms:
```
data_La4Ge7
_chemical_formula_sum 'La16 Ge28'
_space_group_name_H-M_alt 'C 2 2 21'
_space_group_IT_number 20
_space_group_name_Hall 'C 2c 2'
_cell_length_a 6.1608
_cell_length_b 14.2877
_cell_length_c 12.3295
_cell_angle_alpha 90.00
_cell_angle_beta 90.00
_cell_angle_gamma 90.00
loop_
_atom_site_label
_atom_site_fract_x
_atom_site_fract_y
_atom_site_fract_z
_atom_site_occupancy
La1 0.0000 0.0037 0.2500 1
La2 0.0103 0.5000 0.0000 1
La3 0.2362 0.2555 0.6191 1
Ge1 0.0000 0.4336 0.7500 1
Ge2 0.0146 0.0869 0.9896 1
Ge3 0.1796 0.3486 0.3404 1
Ge4 0.2471 0.3283 0.8719 1
```

Peak list (10 most intense, 2θ from 10° to 90°, sorted by position)
| 2theta | I_rel | index |
| --- | --- | --- |
| 27.75 | 39 | 1 3 2 |
| 31.62 | 100 | 0 2 4 |
| 37.64 | 48 | 1 5 2 |
| 41.44 | 39 | 2 0 4 |
| 49.30 | 19 | 1 7 2 |
| 57.22 | 22 | 1 5 6 |
| 60.05 | 10 | 0 0 8 |
| 66.31 | 17 | 1 7 6 |
| 69.47 | 18 | 2 2 8 |
| 73.02 | 12 | 0 10 4 |

Entry 3:
Diffraction record for Cd5Hg3Br16. The powder diffraction line list is computed, not measured: it uses DFT lattice parameters and positions (GGA-PBE) and λ = 1.5418 Å (Cu Kα).
Peak positions follow from Bragg's law for the DFT cell and can differ from measured ones.

Cell and atoms:
```
data_Cd5Hg3Br16
_chemical_formula_sum 'Cd10 Hg6 Br32'
_space_group_name_H-M_alt 'C 1 m 1'
_space_group_IT_number 8
_space_group_name_Hall 'C -2y'
_cell_length_a 14.2166
_cell_length_b 8.2064
_cell_length_c 12.9656
_cell_angle_alpha 90.00
_cell_angle_beta 90.34
_cell_angle_gamma 90.00
loop_
_atom_site_label
_atom_site_fract_x
_atom_site_fract_y
_atom_site_fract_z
_atom_site_occupancy
Cd1 0.0000 0.0000 0.0000 1
Cd2 0.0041 0.5000 0.2369 1
Cd3 0.0844 0.2542 0.5000 1
Cd4 0.3376 0.5000 0.7351 1
Hg1 0.2540 0.2531 0.9990 1
Hg2 0.3376 0.0000 0.4988 1
Br1 0.0038 0.5000 0.6221 1
Br2 0.0050 0.0000 0.6199 1
Br3 0.0862 0.2451 0.1224 1
Br4 0.1603 0.5000 0.3725 1
Br5 0.1666 0.0000 0.3859 1
Br6 0.1666 0.0000 0.8843 1
Br7 0.1777 0.5000 0.8668 1
Br8 0.2495 0.2465 0.6232 1
Br9 0.3334 0.0000 0.1244 1
Br10 0.3382 0.5000 0.1230 1
Br11 0.4168 0.2644 0.8695 1
Br12 0.4250 0.2385 0.3694 1
```

Peak list (10 most intense, 2θ from 10° to 90°, sorted by position)
| 2theta | I_rel | index |
| --- | --- | --- |
| 13.66 | 52 | 0 0 2 |
| 14.22 | 78 | 2 0 1 |
| 26.00 | 30 | 4 0 -1 |
| 28.60 | 59 | 4 0 -2 |
| 28.69 | 65 | 2 2 2 |
| 32.56 | 66 | 4 0 -3 |
| 32.69 | 66 | 2 2 3 |
| 43.10 | 37 | 2 2 -5 |
| 43.27 | 36 | 4 0 5 |
| 44.14 | 100 | 6 2 0 |

Entry 4:
Diffraction record for Tm4MgGa12. The powder diffraction line list is computed, not measured: it uses DFT lattice parameters and positions (GGA-PBE) and λ = 1.5418 Å (Cu Kα).
Peak positions follow from Bragg's law for the DFT cell and can differ from measured ones.

Cell and atoms:
```
data_Tm4MgGa12
_chemical_formula_sum 'Tm8 Mg2 Ga24'
_space_group_name_H-M_alt 'I m -3 m'
_space_group_IT_number 229
_space_group_name_Hall '-I 4 2 3'
_cell_length_a 8.6854
_cell_length_b 8.6854
_cell_length_c 8.6854
_cell_angle_alpha 90.00
_cell_angle_beta 90.00
_cell_angle_gamma 90.00
loop_
_atom_site_label
_atom_site_fract_x
_atom_site_fract_y
_atom_site_fract_z
_atom_site_occupancy
Tm1 0.2500 0.2500 0.2500 1
Mg1 0.0000 0.0000 0.0000 1
Ga1 0.0000 0.0000 0.3091 1
Ga2 0.0000 0.2500 0.5000 1
```

Peak list (10 most intense, 2θ from 10° to 90°, sorted by position)
| 2theta | I_rel | index |
| --- | --- | --- |
| 20.45 | 15 | 2 0 0 |
| 29.08 | 30 | 2 2 0 |
| 35.81 | 100 | 2 2 2 |
| 41.59 | 52 | 4 0 0 |
| 46.78 | 14 | 4 2 0 |
| 60.28 | 28 | 4 4 0 |
| 64.36 | 10 | 4 4 2 |
| 68.30 | 11 | 6 2 0 |
| 72.14 | 28 | 6 2 2 |
| 83.25 | 8 | 6 4 2 |